This entry pairs a crystal structure of LiVPO4 with its calculated powder diffractogram. Radiation: Cu Kα X-rays. Structure: a PBE+U-relaxed structure.
Neutral-atom scattering factors, no anomalous dispersion.

Structure:
Cell lengths 5.657, 11.535, 9.419 Å; angles 90.00, 90.00, 90.00 degrees
Space group Fdd2 (No. 43)
Symmetry-distinct sites (fractional):
Li  0.000  0.000  0.000 x8
V  0.000  0.000  0.376 x8
P  0.000  0.000  0.687 x8
O  0.084  0.178  0.033 x16
O  0.099  0.325  0.832 x16

Top 6 peaks for 10 to 90 degrees two-theta, by intensity:
Position (°2θ)  I/Imax  hkl
19.9  100  1 1 1
33.6  96  1 1 3
29.6  64  1 3 1
51.8  51  1 5 3
35.3  43  2 2 0
40.4  32  2 2 2